Record 1
Structure and simulated XRD peak list of La6AsRh2Br3 (a structure optimized by DFT (GGA-PBE); CuKα).
Lines closer than 0.1° are merged.

The 12 most intense peaks (2θ = 15–90°), by angle:
- 2θ 25.2, I = 6
- 2θ 28.6, I = 100
- 2θ 30.9, I = 6
- 2θ 36.4, I = 7
- 2θ 39.5, I = 31
- 2θ 42.2, I = 37
- 2θ 49.8, I = 8
- 2θ 51.8, I = 18
- 2θ 59.1, I = 6
- 2θ 65.0, I = 6
- 2θ 68.9, I = 10
- 2θ 75.3, I = 6

Structural model:
```
La6AsRh2Br3
1.0
3.7041 -6.4268 0.0000
3.7041 6.4268 0.0000
-2.4457 0.0000 7.7165
La As Rh Br
6 1 2 3
Cartesian
-0.0449 2.2317 6.1474
1.1325 0.0000 1.5734
-0.0449 -2.2317 6.1474
5.0074 2.2317 1.5690
3.8299 0.0000 6.1431
5.0074 -2.2317 1.5690
3.7041 0.0000 0.0000
3.7041 4.2783 0.0000
3.7041 -4.2783 0.0000
-1.2228 0.0000 3.8582
2.4812 2.0814 3.8582
2.4812 -2.0814 3.8582
```

Record 2
Structure and simulated XRD peak list of CaPaGaHg (a structure optimized by DFT (GGA-PBE); CuKα).
Lines closer than 0.1° are merged.

The 11 most intense peaks (2θ = 15–90°), by angle:
- 2θ 20.9, I = 38
- 2θ 34.4, I = 100
- 2θ 40.6, I = 22
- 2θ 49.4, I = 18
- 2θ 54.2, I = 10
- 2θ 61.6, I = 37
- 2θ 65.8, I = 8
- 2θ 72.5, I = 12
- 2θ 76.4, I = 8
- 2θ 82.8, I = 17
- 2θ 86.5, I = 3

Structural model:
```
CaPaGaHg
1.0
0.0000 3.6876 3.6876
3.6876 0.0000 3.6876
3.6876 3.6876 0.0000
Ca Pa Ga Hg
1 1 1 1
Cartesian
0.0000 0.0000 0.0000
3.6876 3.6876 3.6876
5.5314 5.5314 5.5314
1.8438 1.8438 1.8438
```

Record 3
Structure and simulated XRD peak list of Pm2RhO (a structure optimized by DFT (GGA-PBE); CuKα).
Lines closer than 0.1° are merged.

The 12 most intense peaks (2θ = 15–90°), by angle:
- 2θ 24.6, I = 19
- 2θ 29.0, I = 33
- 2θ 29.9, I = 100
- 2θ 35.6, I = 98
- 2θ 41.2, I = 94
- 2θ 50.9, I = 55
- 2θ 63.6, I = 18
- 2θ 67.5, I = 21
- 2θ 67.6, I = 18
- 2θ 74.6, I = 28
- 2θ 85.7, I = 15
- 2θ 89.2, I = 21

Structural model:
```
Pm2RhO
1.0
1.7937 1.0356 7.2232
-1.7937 1.0356 7.2232
0.0000 -2.0712 7.2232
Pm Rh O
2 1 1
Cartesian
0.0000 0.0000 0.0000
0.0000 0.0000 3.2991
0.0000 0.0000 12.4888
0.0000 0.0000 16.2279
```

Record 4
Structure and simulated XRD peak list of Er2MgZn (a structure optimized by DFT (GGA-PBE); CuKα).
Lines closer than 0.1° are merged.

The 12 most intense peaks (2θ = 15–90°), by angle:
- 2θ 21.1, I = 3
- 2θ 24.4, I = 36
- 2θ 34.8, I = 100
- 2θ 41.1, I = 1
- 2θ 43.0, I = 11
- 2θ 50.1, I = 18
- 2θ 56.5, I = 15
- 2θ 62.5, I = 36
- 2θ 73.6, I = 11
- 2θ 78.8, I = 8
- 2θ 84.0, I = 16
- 2θ 89.2, I = 5

Structural model:
```
Er2MgZn
1.0
0.0000 3.6421 3.6421
3.6421 0.0000 3.6421
3.6421 3.6421 0.0000
Er Mg Zn
2 1 1
Cartesian
1.8211 1.8211 1.8211
5.4632 5.4632 5.4632
0.0000 0.0000 0.0000
3.6421 3.6421 3.6421
```

Record 5
Structure and simulated XRD peak list of Ca2NdHg3 (a structure optimized by DFT (GGA-PBE); CuKα).
Lines closer than 0.1° are merged.

The 12 most intense peaks (2θ = 15–90°), by angle:
- 2θ 23.4, I = 23
- 2θ 33.3, I = 100
- 2θ 41.0, I = 8
- 2θ 47.8, I = 18
- 2θ 53.8, I = 11
- 2θ 59.4, I = 38
- 2θ 69.8, I = 12
- 2θ 74.8, I = 5
- 2θ 79.5, I = 11
- 2θ 79.7, I = 6
- 2θ 84.3, I = 2
- 2θ 89.0, I = 4

Structural model:
```
Ca2NdHg3
1.0
3.8111 0.0000 0.0000
0.0000 3.8111 0.0000
0.0000 0.0000 11.4159
Ca Nd Hg
2 1 3
Cartesian
0.0000 0.0000 1.8789
0.0000 0.0000 9.5370
0.0000 0.0000 5.7079
1.9055 1.9055 0.0000
1.9055 1.9055 3.7938
1.9055 1.9055 7.6221
```

Record 6
Structure and simulated XRD peak list of Ag2SnBiCl8 (a structure optimized by DFT (GGA-PBE); CuKα).
Lines closer than 0.1° are merged.

The 12 most intense peaks (2θ = 15–90°), by angle:
- 2θ 18.2, I = 100
- 2θ 20.1, I = 76
- 2θ 25.8, I = 44
- 2θ 26.0, I = 55
- 2θ 28.7, I = 24
- 2θ 36.7, I = 37
- 2θ 36.9, I = 24
- 2θ 37.2, I = 42
- 2θ 38.8, I = 29
- 2θ 39.2, I = 37
- 2θ 46.9, I = 33
- 2θ 47.9, I = 25

Structural model:
```
Ag2SnBiCl8
1.0
6.4801 0.0000 0.0000
0.0000 8.0856 0.0000
-0.6671 0.0000 6.6297
Ag Sn Bi Cl
2 1 1 8
Cartesian
0.0000 1.9686 0.0000
0.0000 6.1171 0.0000
2.9065 0.0000 3.3148
2.9065 4.0428 3.3148
1.2503 4.0428 1.1624
1.2483 0.0000 1.2616
1.4471 1.9932 4.4613
1.4471 6.0924 4.4613
4.3658 1.9932 2.1684
4.3658 6.0924 2.1684
4.5646 0.0000 5.3680
4.5626 4.0428 5.4673
```

Record 7
Structure and simulated XRD peak list of LaZn3I9 (a structure optimized by DFT (GGA-PBE); CuKα).
Lines closer than 0.1° are merged.

The 12 most intense peaks (2θ = 15–90°), by angle:
- 2θ 16.3, I = 37
- 2θ 23.3, I = 100
- 2θ 24.2, I = 25
- 2θ 24.4, I = 39
- 2θ 24.5, I = 25
- 2θ 25.4, I = 97
- 2θ 25.7, I = 22
- 2θ 25.9, I = 34
- 2θ 28.4, I = 32
- 2θ 34.7, I = 42
- 2θ 36.1, I = 32
- 2θ 43.8, I = 27

Structural model:
```
LaZn3I9
1.0
10.3203 -5.1301 0.0000
10.3203 5.1301 0.0000
-9.4256 0.0000 11.3644
La Zn I
2 6 18
Cartesian
5.6075 2.7671 5.6822
10.3203 -2.7671 0.0000
-4.7905 1.1866 9.4745
-0.0777 -1.1866 3.7923
1.0652 0.7932 7.5750
5.7780 -0.7932 1.8928
13.0948 0.8615 2.3729
8.3820 -0.8615 8.0551
1.1386 0.7840 2.5160
7.6276 4.3480 3.7548
5.9229 1.3979 0.4247
-3.5742 -0.7840 8.1982
3.4558 1.9019 7.9005
0.1577 0.0076 9.9608
4.8705 -0.0076 4.2786
1.2102 -1.3979 6.1069
10.5751 1.6143 2.5922
14.4561 2.5642 0.8409
8.3222 1.1978 6.3627
8.1686 -1.9019 2.2183
5.8623 -1.6143 8.2744
13.0350 -1.1978 0.6804
14.0109 0.0798 4.7411
9.2981 -0.0798 10.4233
2.9148 -4.3480 9.4371
9.7433 -2.5642 6.5231
```

Record 8
Structure and simulated XRD peak list of Ac7Pr4Nd (a structure optimized by DFT (GGA-PBE); CuKα).
Lines closer than 0.1° are merged.

The 12 most intense peaks (2θ = 15–90°), by angle:
- 2θ 26.7, I = 39
- 2θ 28.4, I = 74
- 2θ 29.3, I = 100
- 2θ 29.4, I = 49
- 2θ 30.8, I = 45
- 2θ 30.8, I = 42
- 2θ 31.0, I = 43
- 2θ 46.6, I = 39
- 2θ 52.7, I = 19
- 2θ 55.4, I = 24
- 2θ 55.5, I = 23
- 2θ 55.8, I = 19

Structural model:
```
Ac7Pr4Nd
1.0
6.7649 0.0000 0.0000
0.0081 7.7643 0.0000
2.2290 0.0502 9.4325
Ac Pr Nd
7 4 1
Cartesian
0.0000 0.0000 0.0000
2.2274 3.8954 3.1265
3.3936 5.8942 6.2639
5.5875 1.9852 9.3956
3.4145 5.8293 0.0368
5.6083 1.9203 3.1685
6.7746 3.9191 6.3060
2.2207 0.0168 3.1440
3.3501 1.9690 6.3108
5.6519 5.8455 3.1217
6.7813 7.7977 6.2885
0.0040 3.8822 0.0000
```

Record 9
Structure and simulated XRD peak list of CrCdNi6 (a structure optimized by DFT (GGA-PBE); CuKα).
Lines closer than 0.1° are merged.

The 12 most intense peaks (2θ = 15–90°), by angle:
- 2θ 24.5, I = 4
- 2θ 33.8, I = 3
- 2θ 36.0, I = 4
- 2θ 43.0, I = 99
- 2θ 43.1, I = 100
- 2θ 50.1, I = 62
- 2θ 50.3, I = 30
- 2θ 73.5, I = 8
- 2θ 73.8, I = 43
- 2θ 89.2, I = 20
- 2θ 89.4, I = 21
- 2θ 89.6, I = 20

Structural model:
```
CrCdNi6
1.0
3.6260 -5.1394 0.0000
3.6260 5.1394 0.0000
0.0000 0.0000 10.3137
Cr Cd Ni
4 4 24
Cartesian
0.0000 0.0000 2.5782
0.0000 0.0000 7.7355
3.6260 2.5561 0.0000
3.6260 -2.5561 0.0000
3.6260 2.5067 5.1569
3.6260 0.0000 2.5545
3.6260 0.0000 7.7592
3.6260 -2.5067 5.1569
0.0000 0.0000 0.0000
0.0000 0.0000 5.1569
1.7495 1.3191 1.2227
1.7495 1.3191 9.0910
1.7119 1.2492 3.7753
1.7119 1.2492 6.5384
3.6260 2.6405 2.4474
3.6260 2.6405 7.8663
1.7119 -1.2492 3.7753
1.7119 -1.2492 6.5384
1.7495 -1.3191 1.2227
1.7495 -1.3191 9.0910
3.6260 0.0000 0.0000
3.6260 0.0000 5.1569
5.5026 1.3191 1.2227
5.5026 1.3191 9.0910
5.5401 1.2492 3.7753
5.5401 1.2492 6.5384
3.6260 -2.6405 2.4474
3.6260 -2.6405 7.8663
5.5401 -1.2492 3.7753
5.5401 -1.2492 6.5384
5.5026 -1.3191 1.2227
5.5026 -1.3191 9.0910
```

Record 10
Structure and simulated XRD peak list of Cs6MgCl8 (a structure optimized by DFT (GGA-PBE); CuKα).
Lines closer than 0.1° are merged.

The 12 most intense peaks (2θ = 15–90°), by angle:
- 2θ 17.6, I = 26
- 2θ 22.2, I = 100
- 2θ 27.2, I = 34
- 2θ 27.4, I = 47
- 2θ 28.5, I = 24
- 2θ 30.7, I = 27
- 2θ 32.6, I = 33
- 2θ 32.7, I = 20
- 2θ 35.5, I = 23
- 2θ 38.3, I = 41
- 2θ 41.5, I = 23
- 2θ 45.2, I = 15

Structural model:
```
Cs6MgCl8
1.0
5.0419 2.9110 6.5634
-5.0419 2.9110 6.5634
0.0000 -5.8219 6.5634
Cs Mg Cl
6 1 8
Cartesian
-2.1500 -3.3167 8.2098
-3.9474 0.2036 11.4804
-1.7973 3.5204 8.2098
1.7974 -3.5204 11.4804
3.9474 -0.2036 8.2098
2.1500 3.3167 11.4804
0.0000 0.0000 9.8451
0.0000 0.0000 2.9989
-2.1258 0.0943 8.3603
-1.1446 -1.7939 11.3300
0.9812 -1.8882 8.3603
-0.9812 1.8882 11.3300
1.1446 1.7939 8.3603
2.1258 -0.0943 11.3300
0.0000 0.0000 16.6913
```

Record 11
Structure and simulated XRD peak list of Tb5Se8 (a structure optimized by DFT (GGA-PBE); CuKα).
Lines closer than 0.1° are merged.

The 12 most intense peaks (2θ = 15–90°), by angle:
- 2θ 24.7, I = 34
- 2θ 27.9, I = 49
- 2θ 28.2, I = 100
- 2θ 36.2, I = 34
- 2θ 36.3, I = 43
- 2θ 36.7, I = 64
- 2θ 37.1, I = 24
- 2θ 43.4, I = 31
- 2θ 43.7, I = 61
- 2θ 47.4, I = 20
- 2θ 52.4, I = 16
- 2θ 57.7, I = 21

Structural model:
```
Tb5Se8
1.0
6.7395 -4.1732 0.0000
6.7395 4.1732 0.0000
-6.5591 0.0000 7.1529
Tb Se
5 8
Cartesian
0.0000 0.0000 0.0000
3.4600 2.0147 3.5765
3.7403 0.0000 0.0390
3.1797 0.0000 7.1139
3.4600 -2.0147 3.5765
-1.8576 0.0000 2.2206
-1.6113 2.2684 5.9503
8.5313 2.2684 1.2026
1.8080 0.0000 4.6905
5.1119 0.0000 2.4624
-1.6113 -2.2684 5.9503
8.5313 -2.2684 1.2026
8.7775 0.0000 4.9323
```

Record 12
Structure and simulated XRD peak list of PuPa3Si7 (a structure optimized by DFT (GGA-PBE); CuKα).
Lines closer than 0.1° are merged.

The 12 most intense peaks (2θ = 15–90°), by angle:
- 2θ 22.3, I = 77
- 2θ 24.9, I = 100
- 2θ 25.4, I = 46
- 2θ 30.1, I = 32
- 2θ 30.6, I = 44
- 2θ 31.4, I = 30
- 2θ 32.5, I = 89
- 2θ 33.7, I = 59
- 2θ 36.4, I = 88
- 2θ 38.8, I = 36
- 2θ 44.3, I = 39
- 2θ 49.8, I = 35

Structural model:
```
PuPa3Si7
1.0
2.0450 -9.2184 0.0000
2.0450 9.2184 0.0000
0.0000 0.0000 11.3901
Pu Pa Si
2 6 14
Cartesian
2.0450 8.5444 8.5425
2.0450 -8.5444 2.8475
2.0450 7.2002 0.5101
2.0450 7.2002 5.1849
2.0450 4.8709 8.5425
2.0450 -4.8709 2.8475
2.0450 -7.2002 6.2051
2.0450 -7.2002 10.8800
2.0450 4.2450 0.4145
2.0450 4.2450 5.2805
2.0450 2.3314 1.6723
2.0450 2.3314 4.0227
2.0450 1.8507 8.5425
2.0450 0.0194 6.8250
2.0450 0.0194 10.2601
2.0450 -0.0194 1.1299
2.0450 -0.0194 4.5651
2.0450 -1.8507 2.8475
2.0450 -2.3314 7.3673
2.0450 -2.3314 9.7178
2.0450 -4.2450 6.1096
2.0450 -4.2450 10.9755
```

Question: Which formula does entry 4 have?
Answer: Er2MgZn